[1]
Calculated X-ray diffraction stick pattern of LaTiPt for Cu Ka, from a structure optimized by DFT (PBE).
Peak positions follow from Bragg's law for the DFT cell and can differ from measured ones.

Cell lengths 6.6459, 6.9644, 12.6251 Å; angles 90.00, 90.00, 90.00 degrees
Space group Fmmm (No. 69)
Unique sites:
La  0.0000  0.2228  0.0000
Ti  0.2500  0.2500  0.2500
Pt  0.0000  0.0000  0.3313

Most intense lines, 10 to 80 degrees two-theta, in order of rising 2θ:
hkl 1 1 1, 19.8°, rel. 24
hkl 2 0 0, 26.8°, rel. 46
hkl 1 1 3, 28.2°, rel. 100
hkl 0 2 2, 29.3°, rel. 31
hkl 0 2 4, 38.5°, rel. 31
hkl 2 2 2, 40.1°, rel. 61
hkl 1 3 1, 41.8°, rel. 19
hkl 2 2 4, 47.5°, rel. 14
hkl 3 1 3, 48.2°, rel. 22
hkl 2 0 6, 51.4°, rel. 28

[2]
Calculated X-ray diffraction stick pattern of Cs3Ag2Br8 for Cu Ka, from a structure optimized by DFT (PBE).
Peak positions follow from Bragg's law for the DFT cell and can differ from measured ones.

Cell lengths 7.3785, 7.3785, 32.8093 Å; angles 90.00, 90.00, 120.00 degrees
Space group R-3m (No. 166, hexagonal axes)
Unique sites:
Cs  0.0000  0.0000  0.0000
Cs  0.0000  0.0000  0.2084
Ag  0.0000  0.0000  0.3974
Br  0.0000  0.0000  0.3195
Br  0.0239  0.5120  0.7695

Most intense lines, 10 to 80 degrees two-theta, in order of rising 2θ:
hkl 0 1 5, 19.4°, rel. 48
hkl 1 1 0, 24.1°, rel. 100
hkl 0 0 9, 24.4°, rel. 38
hkl 2 0 2, 28.5°, rel. 62
hkl 0 2 4, 30.0°, rel. 32
hkl 1 0 10, 30.6°, rel. 75
hkl 2 0 5, 31.1°, rel. 75
hkl 2 0 11, 41.4°, rel. 32
hkl 1 1 15, 48.4°, rel. 40
hkl 2 2 0, 49.4°, rel. 60

[3]
Calculated X-ray diffraction stick pattern of Ti2CSe for Cu Ka, from a structure optimized by DFT (PBE).
Peak positions follow from Bragg's law for the DFT cell and can differ from measured ones.

Cell lengths 3.2765, 3.2765, 17.7802 Å; angles 90.00, 90.00, 120.00 degrees
Space group R-3m (No. 166, hexagonal axes)
Unique sites:
Ti  0.0000  0.0000  0.2268
C  0.0000  0.0000  0.5000
Se  0.0000  0.0000  0.0000

Most intense lines, 10 to 80 degrees two-theta, in order of rising 2θ:
hkl 1 0 1, 31.9°, rel. 38
hkl 1 0 4, 37.6°, rel. 100
hkl 0 1 5, 40.7°, rel. 49
hkl 0 0 9, 45.9°, rel. 17
hkl 0 1 8, 52.3°, rel. 21
hkl 1 1 0, 56.1°, rel. 34
hkl 0 2 4, 69.6°, rel. 14
hkl 2 0 5, 71.6°, rel. 9
hkl 1 1 9, 75.4°, rel. 22
hkl 1 0 13, 77.5°, rel. 10

[4]
Calculated X-ray diffraction stick pattern of Er8Al3In2 for Cu Ka, from a structure optimized by DFT (PBE).
Peak positions follow from Bragg's law for the DFT cell and can differ from measured ones.

Cell lengths 10.2129, 14.1656, 5.1248 Å; angles 90.00, 90.00, 90.00 degrees
Space group Cmmm (No. 65)
Unique sites:
Er  0.0000  0.1177  0.0000
Er  0.0000  0.3745  0.0000
Er  0.2433  0.1205  0.5000
Al  0.0000  0.5000  0.5000
Al  0.2504  0.0000  0.0000
In  0.0000  0.2530  0.5000

Most intense lines, 10 to 80 degrees two-theta, in order of rising 2θ:
hkl 2 0 1, 24.6°, rel. 49
hkl 0 4 0, 25.1°, rel. 23
hkl 0 0 2, 35.0°, rel. 26
hkl 4 0 0, 35.1°, rel. 26
hkl 2 4 1, 35.5°, rel. 100
hkl 4 0 2, 50.5°, rel. 18
hkl 2 4 3, 63.1°, rel. 19
hkl 6 4 1, 63.3°, rel. 18
hkl 0 8 2, 63.9°, rel. 17
hkl 4 8 2, 75.1°, rel. 11

[5]
Calculated X-ray diffraction stick pattern of Yb6Er for Cu Ka, from a structure optimized by DFT (PBE).
Peak positions follow from Bragg's law for the DFT cell and can differ from measured ones.

Cell lengths 8.6937, 8.6937, 8.6937 Å; angles 90.00, 90.00, 90.00 degrees
Space group Im-3m (No. 229)
Unique sites:
Yb  0.0000  0.2500  0.5000
Er  0.0000  0.0000  0.0000

Most intense lines, 10 to 80 degrees two-theta, in order of rising 2θ:
hkl 1 1 0, 14.4°, rel. 22
hkl 2 0 0, 20.4°, rel. 41
hkl 2 1 1, 25.1°, rel. 100
hkl 2 2 2, 35.8°, rel. 38
hkl 3 2 1, 38.8°, rel. 64
hkl 4 0 0, 41.6°, rel. 37
hkl 4 2 0, 46.7°, rel. 19
hkl 5 2 1, 58.1°, rel. 20
hkl 4 4 0, 60.2°, rel. 25
hkl 6 1 1, 66.3°, rel. 20